# LiCo3P3O13
Simulated X-ray powder pattern, Cu Kα, 1.54184 Å. Input: a crystal structure in Alexandria, relaxed with GGA+U.
Neutral-atom scattering factors, no anomalous dispersion.

Cell and atoms:
Cell lengths 7.3549, 6.1983, 10.4881 Å; angles 90.00, 99.96, 90.00 degrees
Space group P2_1/m (No. 11)
Asymmetric unit:
Li 0.1216 0.2500 0.1393 x2
Co 0.1305 0.2500 0.8042 x2
Co 0.2869 0.7500 0.4541 x2
Co 0.5000 0.0000 0.0000 x2
P 0.1966 0.7500 0.1252 x2
P 0.2307 0.7500 0.7731 x2
P 0.2767 0.2500 0.5279 x2
O 0.0051 0.2500 0.9534 x2
O 0.1072 0.5588 0.8019 x4
O 0.1469 0.7500 0.2630 x2
O 0.1580 0.2500 0.6352 x2
O 0.2289 0.0515 0.4410 x4
O 0.2925 0.7500 0.6425 x2
O 0.3016 0.5426 0.1002 x4
O 0.3549 0.2500 0.8991 x2
O 0.4102 0.7500 0.8823 x2
O 0.4846 0.2500 0.5926 x2

Top 8 peaks for 2θ from 15° to 90°, by angle:
d (Å)	2θ (°)	Rel. int.
5.315	16.7	77
4.598	19.3	100
3.621	24.6	47
3.247	27.5	66
3.099	28.8	51
2.920	30.6	52
2.744	32.6	45
2.700	33.2	63